(1)
Computed powder diffraction line list of Bi2C3Br9N9 for Cu Kα (λ = 1.5418 Å), from a cell relaxed with PBE.

Most intense lines, 2θ from 5° to 70°, by angle:
- 2θ = 11.63°, 7.612 Å, rel. 100.0
- 2θ = 12.63°, 7.011 Å, rel. 63.6
- 2θ = 13.68°, 6.472 Å, rel. 44.2
- 2θ = 25.31°, 3.518 Å, rel. 58.1
- 2θ = 30.75°, 2.908 Å, rel. 24.0
- 2θ = 31.80°, 2.814 Å, rel. 19.5
- 2θ = 32.35°, 2.767 Å, rel. 21.4
- 2θ = 32.69°, 2.739 Å, rel. 20.3
- 2θ = 35.25°, 2.546 Å, rel. 22.7
- 2θ = 38.19°, 2.357 Å, rel. 25.4

Structure:
Cell lengths 7.7547, 20.6418, 8.5187 Å; angles 90.00, 106.00, 90.00 degrees
Element x y z (fractional)
Bi1 0.1545 0.1553 0.2089
Bi2 0.1545 0.3447 0.2089
Bi3 0.8455 0.6553 0.7911
Bi4 0.8455 0.8447 0.7911
C1 0.3094 0.5874 0.3760
C2 0.3094 0.9126 0.3760
C3 0.3840 0.7500 0.1124
C4 0.6160 0.2500 0.8876
C5 0.6906 0.0874 0.6240
C6 0.6906 0.4126 0.6240
Br1 0.0075 0.7500 0.5931
Br2 0.0672 0.2500 0.9535
Br3 0.1352 0.5777 0.8663
Br4 0.1352 0.9223 0.8663
Br5 0.3229 0.0866 0.5971
Br6 0.3229 0.4134 0.5971
Br7 0.3451 0.0825 0.0583
Br8 0.3451 0.4175 0.0583
Br9 0.4652 0.2500 0.3374
Br10 0.5348 0.7500 0.6626
Br11 0.6549 0.5825 0.9417
Br12 0.6549 0.9175 0.9417
Br13 0.6771 0.5866 0.4029
Br14 0.6771 0.9134 0.4029
Br15 0.8648 0.0777 0.1337
Br16 0.8648 0.4223 0.1337
Br17 0.9328 0.7500 0.0465
Br18 0.9925 0.2500 0.4069
N1 0.1378 0.5823 0.2878
N2 0.1378 0.9177 0.2878
N3 0.3413 0.7500 0.9652
N4 0.3551 0.7500 0.2727
N5 0.3645 0.5996 0.5364
N6 0.3645 0.9004 0.5364
N7 0.4348 0.5790 0.2851
N8 0.4348 0.9210 0.2851
N9 0.4827 0.2500 0.7196
N10 0.5173 0.7500 0.2804
N11 0.5652 0.0790 0.7149
N12 0.5652 0.4210 0.7149
N13 0.6355 0.0996 0.4636
N14 0.6355 0.4004 0.4636
N15 0.6449 0.2500 0.7273
N16 0.6587 0.2500 0.0348
N17 0.8622 0.0823 0.7122
N18 0.8622 0.4177 0.7122

***

(2)
Computed powder diffraction line list of CdBiSe2Br for Cu Kα (λ = 1.5418 Å), from a cell relaxed with PBE.

Most intense lines, 2θ from 5° to 70°, by angle:
- 2θ = 10.89°, 8.124 Å, rel. 28.6
- 2θ = 21.88°, 4.062 Å, rel. 53.0
- 2θ = 27.04°, 3.298 Å, rel. 27.5
- 2θ = 29.27°, 3.051 Å, rel. 100.0
- 2θ = 29.43°, 3.035 Å, rel. 45.3
- 2θ = 30.58°, 2.923 Å, rel. 96.5
- 2θ = 30.72°, 2.910 Å, rel. 30.7
- 2θ = 43.39°, 2.086 Å, rel. 40.1
- 2θ = 43.69°, 2.072 Å, rel. 27.8
- 2θ = 43.86°, 2.064 Å, rel. 50.7

Structure:
Cell lengths 10.2070, 4.1711, 13.4213 Å; angles 90.00, 90.00, 90.00 degrees
Element x y z (fractional)
Cd1 0.0069 0.2500 0.2357
Cd2 0.4931 0.7500 0.7357
Cd3 0.5069 0.2500 0.2643
Cd4 0.9931 0.7500 0.7643
Bi1 0.1890 0.7500 0.4703
Bi2 0.3110 0.2500 0.9703
Bi3 0.6890 0.7500 0.0297
Bi4 0.8110 0.2500 0.5297
Se1 0.0554 0.2500 0.6139
Se2 0.2485 0.2500 0.3306
Se3 0.2515 0.7500 0.8306
Se4 0.4446 0.7500 0.1139
Se5 0.5554 0.2500 0.8861
Se6 0.7485 0.2500 0.1694
Se7 0.7515 0.7500 0.6694
Se8 0.9446 0.7500 0.3861
Br1 0.0757 0.7500 0.1049
Br2 0.4243 0.2500 0.6049
Br3 0.5757 0.7500 0.3951
Br4 0.9243 0.2500 0.8951

***

(3)
Computed powder diffraction line list of Bi2BrClO2 for Cu Kα (λ = 1.5418 Å), from a cell relaxed with PBE.

Most intense lines, 2θ from 5° to 70°, by angle:
- 2θ = 11.27°, 7.849 Å, rel. 25.5
- 2θ = 25.25°, 3.527 Å, rel. 33.9
- 2θ = 32.13°, 2.786 Å, rel. 100.0
- 2θ = 39.62°, 2.275 Å, rel. 10.3
- 2θ = 45.98°, 1.974 Å, rel. 16.5
- 2θ = 47.64°, 1.909 Å, rel. 11.3
- 2θ = 52.05°, 1.757 Å, rel. 11.3
- 2θ = 53.18°, 1.722 Å, rel. 10.0
- 2θ = 57.22°, 1.610 Å, rel. 25.5
- 2θ = 57.40°, 1.605 Å, rel. 7.4

Structure:
Cell lengths 3.9474, 3.9474, 7.8488 Å; angles 90.00, 90.00, 90.00 degrees
Element x y z (fractional)
Bi1 0.0000 0.0000 0.0000
Bi2 0.5000 0.5000 0.3245
Br1 0.5000 0.5000 0.7997
Cl1 0.0000 0.0000 0.4971
O1 0.0000 0.5000 0.1618
O2 0.5000 0.0000 0.1618

***

(4)
Computed powder diffraction line list of Cs3Bi2Br9 for Cu Kα (λ = 1.5418 Å), from a cell relaxed with PBE.

Most intense lines, 2θ from 5° to 70°, by angle:
- 2θ = 12.44°, 7.115 Å, rel. 16.7
- 2θ = 15.25°, 5.811 Å, rel. 30.7
- 2θ = 21.63°, 4.109 Å, rel. 61.2
- 2θ = 26.57°, 3.355 Å, rel. 48.7
- 2θ = 30.77°, 2.905 Å, rel. 100.0
- 2θ = 37.93°, 2.372 Å, rel. 32.0
- 2θ = 44.08°, 2.054 Å, rel. 73.5
- 2θ = 49.61°, 1.838 Å, rel. 16.3
- 2θ = 52.21°, 1.752 Å, rel. 20.8
- 2θ = 54.72°, 1.677 Å, rel. 24.9

Structure:
Cell lengths 8.2160, 8.2160, 10.0698 Å; angles 90.00, 90.00, 120.00 degrees
Element x y z (fractional)
Cs1 0.0000 0.0000 0.0000
Cs2 0.3333 0.6667 0.3342
Cs3 0.6667 0.3333 0.6658
Bi1 0.3333 0.6667 0.8135
Bi2 0.6667 0.3333 0.1865
Br1 0.0000 0.5000 0.0000
Br2 0.1707 0.3413 0.6644
Br3 0.1707 0.8293 0.6644
Br4 0.3413 0.1707 0.3356
Br5 0.5000 0.0000 0.0000
Br6 0.5000 0.5000 0.0000
Br7 0.6587 0.8293 0.6644
Br8 0.8293 0.1707 0.3356
Br9 0.8293 0.6587 0.3356

***

(5)
Computed powder diffraction line list of Cs3BiBr6 for Cu Kα (λ = 1.5418 Å), from a cell relaxed with PBE.

Most intense lines, 2θ from 5° to 70°, by angle:
- 2θ = 14.08°, 6.289 Å, rel. 27.5
- 2θ = 19.97°, 4.447 Å, rel. 80.4
- 2θ = 24.52°, 3.631 Å, rel. 27.9
- 2θ = 28.38°, 3.145 Å, rel. 100.0
- 2θ = 34.95°, 2.568 Å, rel. 35.7
- 2θ = 40.57°, 2.224 Å, rel. 72.1
- 2θ = 45.61°, 1.989 Å, rel. 23.0
- 2θ = 50.25°, 1.816 Å, rel. 24.6
- 2θ = 54.60°, 1.681 Å, rel. 24.7
- 2θ = 66.48°, 1.406 Å, rel. 29.4

Structure:
Cell lengths 8.8945, 8.8945, 8.8945 Å; angles 60.00, 60.00, 60.00 degrees
Element x y z (fractional)
Cs1 0.0000 0.0000 0.0000
Cs2 0.2500 0.2500 0.2500
Cs3 0.7500 0.7500 0.7500
Bi1 0.5000 0.5000 0.5000
Br1 0.2717 0.2717 0.7283
Br2 0.2717 0.7283 0.2717
Br3 0.2717 0.7283 0.7283
Br4 0.7283 0.2717 0.2717
Br5 0.7283 0.2717 0.7283
Br6 0.7283 0.7283 0.2717

***

(6)
Computed powder diffraction line list of CsBi2Br7 for Cu Kα (λ = 1.5418 Å), from a cell relaxed with PBE.

Most intense lines, 2θ from 5° to 70°, by angle:
- 2θ = 14.02°, 6.315 Å, rel. 59.0
- 2θ = 14.22°, 6.227 Å, rel. 56.6
- 2θ = 17.26°, 5.138 Å, rel. 71.8
- 2θ = 28.27°, 3.156 Å, rel. 95.6
- 2θ = 28.34°, 3.149 Å, rel. 100.0
- 2θ = 28.71°, 3.109 Å, rel. 57.9
- 2θ = 36.84°, 2.440 Å, rel. 81.3
- 2θ = 37.04°, 2.427 Å, rel. 81.5
- 2θ = 43.40°, 2.085 Å, rel. 48.4
- 2θ = 43.93°, 2.061 Å, rel. 51.3

Structure:
Cell lengths 7.8163, 9.8403, 10.8441 Å; angles 75.92, 83.55, 76.30 degrees
Element x y z (fractional)
Cs1 0.1117 0.1406 0.1849
Cs2 0.8883 0.8594 0.8151
Bi1 0.1935 0.2947 0.5611
Bi2 0.3713 0.6421 0.1250
Bi3 0.6287 0.3579 0.8750
Bi4 0.8065 0.7053 0.4389
Br1 0.0030 0.7643 0.1753
Br2 0.1181 0.6243 0.5670
Br3 0.2291 0.0202 0.5527
Br4 0.2640 0.4855 0.9521
Br5 0.3678 0.8710 0.9319
Br6 0.3937 0.3474 0.3312
Br7 0.4670 0.7900 0.2927
Br8 0.5330 0.2100 0.7073
Br9 0.6063 0.6526 0.6688
Br10 0.6322 0.1290 0.0681
Br11 0.7360 0.5145 0.0479
Br12 0.7709 0.9798 0.4473
Br13 0.8819 0.3757 0.4330
Br14 0.9970 0.2357 0.8247

***

(7)
Computed powder diffraction line list of Cs3Bi2Br9 for Cu Kα (λ = 1.5418 Å), from a cell relaxed with PBE.

Most intense lines, 2θ from 5° to 70°, by angle:
- 2θ = 12.48°, 7.094 Å, rel. 24.7
- 2θ = 15.18°, 5.837 Å, rel. 23.4
- 2θ = 15.32°, 5.784 Å, rel. 22.7
- 2θ = 21.67°, 4.101 Å, rel. 76.1
- 2θ = 26.55°, 3.358 Å, rel. 20.0
- 2θ = 26.67°, 3.343 Å, rel. 32.1
- 2θ = 30.65°, 2.917 Å, rel. 100.0
- 2θ = 31.03°, 2.882 Å, rel. 48.5
- 2θ = 44.11°, 2.053 Å, rel. 52.0
- 2θ = 44.27°, 2.046 Å, rel. 37.1

Structure:
Cell lengths 8.1854, 8.1854, 20.2536 Å; angles 90.71, 90.71, 60.17 degrees
Element x y z (fractional)
Cs1 0.0000 0.0000 0.0000
Cs2 0.0000 0.0000 0.5000
Cs3 0.3262 0.3429 0.6677
Cs4 0.3429 0.3262 0.1677
Cs5 0.6571 0.6738 0.8323
Cs6 0.6738 0.6571 0.3323
Bi1 0.3262 0.3368 0.9072
Bi2 0.3368 0.3262 0.4072
Bi3 0.6632 0.6738 0.5928
Bi4 0.6738 0.6632 0.0928
Br1 0.0000 0.5000 0.0000
Br2 0.0000 0.5000 0.5000
Br3 0.1497 0.1892 0.8302
Br4 0.1638 0.6658 0.8358
Br5 0.1768 0.6509 0.3335
Br6 0.1892 0.1497 0.3302
Br7 0.3342 0.8362 0.6642
Br8 0.3491 0.8232 0.1665
Br9 0.5000 0.0000 0.0000
Br10 0.5000 0.0000 0.5000
Br11 0.5000 0.5000 0.0000
Br12 0.5000 0.5000 0.5000
Br13 0.6509 0.1768 0.8335
Br14 0.6658 0.1638 0.3358
Br15 0.8108 0.8503 0.6698
Br16 0.8232 0.3491 0.6665
Br17 0.8362 0.3342 0.1642
Br18 0.8503 0.8108 0.1698

***

(8)
Computed powder diffraction line list of Cs2CuBiBr6 for Cu Kα (λ = 1.5418 Å), from a cell relaxed with PBE.

Most intense lines, 2θ from 5° to 70°, by angle:
- 2θ = 15.86°, 5.588 Å, rel. 16.9
- 2θ = 22.50°, 3.951 Å, rel. 63.8
- 2θ = 27.65°, 3.226 Å, rel. 42.6
- 2θ = 32.03°, 2.794 Å, rel. 100.0
- 2θ = 39.50°, 2.281 Å, rel. 29.4
- 2θ = 45.94°, 1.976 Å, rel. 71.7
- 2θ = 51.73°, 1.767 Å, rel. 14.6
- 2θ = 54.46°, 1.685 Å, rel. 17.1
- 2θ = 57.10°, 1.613 Å, rel. 24.6
- 2θ = 62.16°, 1.493 Å, rel. 16.5

Structure:
Cell lengths 7.9023, 7.9023, 7.9023 Å; angles 60.00, 60.00, 60.00 degrees
Element x y z (fractional)
Cs1 0.2500 0.2500 0.2500
Cs2 0.7500 0.7500 0.7500
Cu1 0.0000 0.0000 0.0000
Bi1 0.5000 0.5000 0.5000
Br1 0.2403 0.2403 0.7597
Br2 0.2403 0.7597 0.2403
Br3 0.2403 0.7597 0.7597
Br4 0.7597 0.2403 0.2403
Br5 0.7597 0.2403 0.7597
Br6 0.7597 0.7597 0.2403

***

(9)
Computed powder diffraction line list of Cs2InBiBr6 for Cu Kα (λ = 1.5418 Å), from a cell relaxed with PBE.

Most intense lines, 2θ from 5° to 70°, by angle:
- 2θ = 14.83°, 5.975 Å, rel. 23.7
- 2θ = 21.03°, 4.225 Å, rel. 72.1
- 2θ = 25.83°, 3.450 Å, rel. 31.6
- 2θ = 29.91°, 2.988 Å, rel. 100.0
- 2θ = 36.85°, 2.439 Å, rel. 34.6
- 2θ = 42.81°, 2.113 Å, rel. 73.7
- 2θ = 48.16°, 1.890 Å, rel. 17.1
- 2θ = 50.67°, 1.802 Å, rel. 13.1
- 2θ = 53.09°, 1.725 Å, rel. 25.7
- 2θ = 57.73°, 1.597 Å, rel. 19.7

Structure:
Cell lengths 8.4503, 8.4503, 8.4503 Å; angles 60.00, 60.00, 60.00 degrees
Element x y z (fractional)
Cs1 0.2500 0.2500 0.2500
Cs2 0.7500 0.7500 0.7500
In1 0.0000 0.0000 0.0000
Bi1 0.5000 0.5000 0.5000
Br1 0.2585 0.2585 0.7415
Br2 0.2585 0.7415 0.2585
Br3 0.2585 0.7415 0.7415
Br4 0.7415 0.2585 0.2585
Br5 0.7415 0.2585 0.7415
Br6 0.7415 0.7415 0.2585

***

(10)
Computed powder diffraction line list of Cs2LiBiBr6 for Cu Kα (λ = 1.5418 Å), from a cell relaxed with PBE.

Most intense lines, 2θ from 5° to 70°, by angle:
- 2θ = 13.52°, 6.550 Å, rel. 36.4
- 2θ = 22.16°, 4.011 Å, rel. 48.2
- 2θ = 26.05°, 3.421 Å, rel. 29.0
- 2θ = 27.23°, 3.275 Å, rel. 62.6
- 2θ = 31.54°, 2.836 Å, rel. 100.0
- 2θ = 34.46°, 2.603 Å, rel. 16.5
- 2θ = 38.89°, 2.316 Å, rel. 23.0
- 2θ = 45.21°, 2.006 Å, rel. 72.7
- 2θ = 53.58°, 1.710 Å, rel. 26.3
- 2θ = 56.17°, 1.638 Å, rel. 25.4

Structure:
Cell lengths 8.0226, 8.0226, 8.0226 Å; angles 60.00, 60.00, 60.00 degrees
Element x y z (fractional)
Cs1 0.2500 0.2500 0.2500
Cs2 0.7500 0.7500 0.7500
Li1 0.0000 0.0000 0.0000
Bi1 0.5000 0.5000 0.5000
Br1 0.2464 0.2464 0.7536
Br2 0.2464 0.7536 0.2464
Br3 0.2464 0.7536 0.7536
Br4 0.7536 0.2464 0.2464
Br5 0.7536 0.2464 0.7536
Br6 0.7536 0.7536 0.2464

***

(11)
Computed powder diffraction line list of K2CuBiBr6 for Cu Kα (λ = 1.5418 Å), from a cell relaxed with PBE.

Most intense lines, 2θ from 5° to 70°, by angle:
- 2θ = 16.06°, 5.518 Å, rel. 97.0
- 2θ = 22.79°, 3.902 Å, rel. 26.1
- 2θ = 26.79°, 3.328 Å, rel. 19.5
- 2θ = 28.01°, 3.186 Å, rel. 24.7
- 2θ = 32.45°, 2.759 Å, rel. 100.0
- 2θ = 35.45°, 2.532 Å, rel. 16.3
- 2θ = 36.41°, 2.468 Å, rel. 51.9
- 2θ = 46.55°, 1.951 Å, rel. 70.3
- 2θ = 49.56°, 1.839 Å, rel. 27.3
- 2θ = 57.89°, 1.593 Å, rel. 23.8

Structure:
Cell lengths 7.8038, 7.8038, 7.8038 Å; angles 60.00, 60.00, 60.00 degrees
Element x y z (fractional)
K1 0.2500 0.2500 0.2500
K2 0.7500 0.7500 0.7500
Cu1 0.0000 0.0000 0.0000
Bi1 0.5000 0.5000 0.5000
Br1 0.2393 0.2393 0.7607
Br2 0.2393 0.7607 0.2393
Br3 0.2393 0.7607 0.7607
Br4 0.7607 0.2393 0.2393
Br5 0.7607 0.2393 0.7607
Br6 0.7607 0.7607 0.2393

***

(12)
Computed powder diffraction line list of Na2CuBiBr6 for Cu Kα (λ = 1.5418 Å), from a cell relaxed with PBE.

Most intense lines, 2θ from 5° to 70°, by angle:
- 2θ = 16.18°, 5.479 Å, rel. 100.0
- 2θ = 22.95°, 3.875 Å, rel. 14.9
- 2θ = 26.98°, 3.304 Å, rel. 16.6
- 2θ = 28.21°, 3.164 Å, rel. 16.4
- 2θ = 32.69°, 2.740 Å, rel. 78.0
- 2θ = 35.71°, 2.514 Å, rel. 14.1
- 2θ = 36.67°, 2.450 Å, rel. 51.8
- 2θ = 46.90°, 1.937 Å, rel. 55.0
- 2θ = 49.93°, 1.826 Å, rel. 26.7
- 2θ = 58.34°, 1.582 Å, rel. 18.6

Structure:
Cell lengths 7.7491, 7.7491, 7.7491 Å; angles 60.00, 60.00, 60.00 degrees
Element x y z (fractional)
Na1 0.2500 0.2500 0.2500
Na2 0.7500 0.7500 0.7500
Cu1 0.0000 0.0000 0.0000
Bi1 0.5000 0.5000 0.5000
Br1 0.2388 0.2388 0.7612
Br2 0.2388 0.7612 0.2388
Br3 0.2388 0.7612 0.7612
Br4 0.7612 0.2388 0.2388
Br5 0.7612 0.2388 0.7612
Br6 0.7612 0.7612 0.2388